Structure and computed powder diffractogram of La5Tm2In4 (a cell relaxed with PBE; Cu Kα).
No peak broadening, texture or thermal motion is included.

Cell lengths 8.953, 3.416, 10.930 Å; angles 90.00, 95.12, 90.00 degrees
Atoms (fractional coordinates):
La: 0.000 0.000 0.000
La: 0.041 0.000 0.338
La: 0.345 0.000 0.861
La: 0.655 0.000 0.139
La: 0.959 0.000 0.662
Tm: 0.424 0.000 0.363
Tm: 0.576 0.000 0.637
In: 0.264 0.500 0.574
In: 0.301 0.500 0.132
In: 0.699 0.500 0.868
In: 0.736 0.500 0.426

The 12 most intense peaks (15° ≤ 2θ ≤ 90°), sorted by position:
| 2θ/deg | I (rel.) |
| --- | --- |
| 26.09 | 21 |
| 30.06 | 32 |
| 30.34 | 28 |
| 30.46 | 22 |
| 32.06 | 47 |
| 32.97 | 100 |
| 33.03 | 88 |
| 33.19 | 29 |
| 33.56 | 27 |
| 35.69 | 25 |
| 36.16 | 59 |
| 53.66 | 21 |

=====

Structure and computed powder diffractogram of TiMnCr (a cell relaxed with PBE; Cu Kα).
No peak broadening, texture or thermal motion is included.

Cell lengths 4.780, 4.868, 6.729 Å; angles 90.00, 90.00, 90.00 degrees
Atoms (fractional coordinates):
Ti: 0.000 0.250 0.127
Ti: 0.000 0.750 0.873
Ti: 0.500 0.250 0.373
Ti: 0.500 0.750 0.627
Mn: 0.000 0.000 0.500
Mn: 0.000 0.500 0.500
Mn: 0.500 0.000 0.000
Mn: 0.500 0.500 0.000
Cr: 0.250 0.250 0.750
Cr: 0.250 0.750 0.250
Cr: 0.750 0.250 0.750
Cr: 0.750 0.750 0.250

The 12 most intense peaks (15° ≤ 2θ ≤ 90°), sorted by position:
| 2θ/deg | I (rel.) |
| --- | --- |
| 22.54 | 16 |
| 22.82 | 20 |
| 37.57 | 57 |
| 43.86 | 100 |
| 44.32 | 93 |
| 44.47 | 44 |
| 44.63 | 49 |
| 46.02 | 66 |
| 46.62 | 61 |
| 71.69 | 19 |
| 72.25 | 20 |
| 80.14 | 44 |

=====

> Number 1 is which compound?

La5Tm2In4